Entry 1:
Pr2Co16Cu: simulated PXRD pattern (λ = 1.5418 Å (Cu Kα)), based on a DFT-relaxed cell (PBE, the Materials Project).
Intensities are scaled so that the largest is 1000.

Principal peaks in the range 2θ from 5° to 70°, in order of falling intensity:
2θ (°)  I (rel.)
43.37  1000
42.85  753
44.90  512
36.89  419
38.61  375
30.64  355
48.69  296
44.38  232
63.41  231
62.61  190
63.81  181
31.99  113

Cell and atoms:
```
data_Pr2Co16Cu
_space_group_name_H-M_alt 'R 3 m'
_space_group_IT_number 160
_space_group_name_Hall 'R 3 -2"'
_cell_length_a 8.4410
_cell_length_b 8.4410
_cell_length_c 12.1122
_cell_angle_alpha 90.00
_cell_angle_beta 90.00
_cell_angle_gamma 120.00
loop_
_atom_site_label
_atom_site_fract_x
_atom_site_fract_y
_atom_site_fract_z
Pr1 0.0000 0.0000 0.0000
Pr2 0.0000 0.0000 0.3113
Co1 0.0000 0.0000 0.5524
Co2 0.9998 0.2830 0.6556
Co3 0.0016 0.5008 0.5013
Co4 0.0044 0.5022 0.1551
Co5 0.1691 0.3382 0.1438
Cu1 0.0000 0.0000 0.7543
```


Entry 2:
ZnSn3: simulated PXRD pattern (λ = 1.5418 Å (Cu Kα)), based on a DFT-relaxed cell (PBE, the Materials Project).
Intensities are scaled so that the largest is 1000.

Principal peaks in the range 2θ from 5° to 70°, in order of falling intensity:
2θ (°)  I (rel.)
35.58  1000
32.83  276
31.44  231
66.43  222
60.40  221
55.98  184
46.09  163
68.11  155
22.58  47
68.82  34
65.62  29
27.14  17

Cell and atoms:
```
data_ZnSn3
_space_group_name_H-M_alt 'P 63/m m c'
_space_group_IT_number 194
_space_group_name_Hall '-P 6c 2c'
_cell_length_a 6.5710
_cell_length_b 6.5710
_cell_length_c 5.4568
_cell_angle_alpha 90.00
_cell_angle_beta 90.00
_cell_angle_gamma 120.00
loop_
_atom_site_label
_atom_site_fract_x
_atom_site_fract_y
_atom_site_fract_z
Zn1 0.3333 0.6667 0.2500
Sn1 0.1692 0.3383 0.7500
```


Entry 3:
BaF2: simulated PXRD pattern (λ = 1.5418 Å (Cu Kα)), based on a DFT-relaxed cell (PBE, the Materials Project).
Intensities are scaled so that the largest is 1000.

Principal peaks in the range 2θ from 5° to 70°, in order of falling intensity:
2θ (°)  I (rel.)
27.20  1000
40.49  534
37.14  429
50.40  337
28.72  272
23.05  250
49.47  199
49.96  194
65.77  178
56.11  118
66.18  87
59.48  54

Cell and atoms:
```
data_BaF2
_space_group_name_H-M_alt 'P 63/m m c'
_space_group_IT_number 194
_space_group_name_Hall '-P 6c 2c'
_cell_length_a 4.4554
_cell_length_b 4.4554
_cell_length_c 6.2167
_cell_angle_alpha 90.00
_cell_angle_beta 90.00
_cell_angle_gamma 120.00
loop_
_atom_site_label
_atom_site_fract_x
_atom_site_fract_y
_atom_site_fract_z
Ba1 0.3333 0.6667 0.2500
F1 0.0000 0.0000 0.0000
F2 0.3333 0.6667 0.7500
```


Entry 4:
BaNi2As2: simulated PXRD pattern (λ = 1.5418 Å (Cu Kα)), based on a DFT-relaxed cell (PBE, the Materials Project).
Intensities are scaled so that the largest is 1000.

Principal peaks in the range 2θ from 5° to 70°, in order of falling intensity:
2θ (°)  I (rel.)
31.58  1000
31.71  588
33.94  510
43.36  446
43.20  421
31.35  406
54.71  395
57.23  366
34.17  346
56.78  342
30.23  340
54.25  316

Cell and atoms:
```
data_BaNi2As2
_space_group_name_H-M_alt 'C 1 2/m 1'
_space_group_IT_number 12
_cell_length_a 12.2659
_cell_length_b 4.1735
_cell_length_c 4.1883
_cell_angle_alpha 90.00
_cell_angle_beta 109.33
_cell_angle_gamma 90.00
loop_
_space_group_symop_operation_xyz
'x,y,z'
'-x,-y,-z'
'-x,y,-z'
'x,-y,z'
'x+1/2,y+1/2,z'
'-x+1/2,-y+1/2,-z'
'-x+1/2,y+1/2,-z'
'x+1/2,-y+1/2,z'
loop_
_atom_site_label
_atom_site_fract_x
_atom_site_fract_y
_atom_site_fract_z
Ba1 0.0000 0.0000 0.0000
Ni1 0.2503 0.0000 0.7789
As1 0.1548 0.5000 0.6340
```


Entry 5:
RbNiN: simulated PXRD pattern (λ = 1.5418 Å (Cu Kα)), based on a DFT-relaxed cell (PBE, the Materials Project).
Intensities are scaled so that the largest is 1000.

Principal peaks in the range 2θ from 5° to 70°, in order of falling intensity:
2θ (°)  I (rel.)
32.79  1000
19.57  887
34.25  833
60.40  338
48.14  336
65.13  230
61.32  139
39.75  136
53.46  110
57.58  87
53.56  72
68.73  50

Cell and atoms:
```
data_RbNiN
_space_group_name_H-M_alt 'P -6 m 2'
_space_group_IT_number 187
_space_group_name_Hall 'P -6 2'
_cell_length_a 5.2366
_cell_length_b 5.2366
_cell_length_c 3.4220
_cell_angle_alpha 90.00
_cell_angle_beta 90.00
_cell_angle_gamma 120.00
loop_
_atom_site_label
_atom_site_fract_x
_atom_site_fract_y
_atom_site_fract_z
Rb1 0.0000 0.0000 0.0000
Ni1 0.6667 0.3333 0.5000
N1 0.6667 0.3333 0.0000
```


Entry 6:
Ba2GdCu2Hg2O8: simulated PXRD pattern (λ = 1.5418 Å (Cu Kα)), based on a DFT-relaxed cell (PBE, the Materials Project).
Intensities are scaled so that the largest is 1000.

Principal peaks in the range 2θ from 5° to 70°, in order of falling intensity:
2θ (°)  I (rel.)
31.22  1000
32.38  657
57.03  375
46.45  305
54.80  231
27.37  230
49.66  127
36.60  108
67.79  94
60.54  94
65.12  84
24.51  81

Cell and atoms:
```
data_Ba2GdCu2Hg2O8
_space_group_name_H-M_alt 'I 4/m m m'
_space_group_IT_number 139
_space_group_name_Hall '-I 4 2'
_cell_length_a 3.9099
_cell_length_b 3.9099
_cell_length_c 29.4652
_cell_angle_alpha 90.00
_cell_angle_beta 90.00
_cell_angle_gamma 90.00
loop_
_atom_site_label
_atom_site_fract_x
_atom_site_fract_y
_atom_site_fract_z
Ba1 0.0000 0.0000 0.1270
Gd1 0.0000 0.0000 0.0000
Cu1 0.0000 0.0000 0.4435
Hg1 0.0000 0.0000 0.2884
O1 0.0000 0.0000 0.2179
O2 0.0000 0.0000 0.3600
O3 0.0000 0.5000 0.0500
```


Entry 7:
Ta2Co3Ge: simulated PXRD pattern (λ = 1.5418 Å (Cu Kα)), based on a DFT-relaxed cell (PBE, the Materials Project).
Intensities are scaled so that the largest is 1000.

Principal peaks in the range 2θ from 5° to 70°, in order of falling intensity:
2θ (°)  I (rel.)
43.93  1000
41.31  863
36.74  720
44.37  458
69.28  345
66.18  132
42.69  132
20.97  128
23.24  119
64.75  118
31.50  97
24.01  92

Cell and atoms:
```
data_Ta2Co3Ge
_space_group_name_H-M_alt 'P 63/m m c'
_space_group_IT_number 194
_space_group_name_Hall '-P 6c 2c'
_cell_length_a 4.8917
_cell_length_b 4.8917
_cell_length_c 7.6548
_cell_angle_alpha 90.00
_cell_angle_beta 90.00
_cell_angle_gamma 120.00
loop_
_atom_site_label
_atom_site_fract_x
_atom_site_fract_y
_atom_site_fract_z
Ta1 0.3333 0.6667 0.0600
Co1 0.1718 0.3437 0.7500
Ge1 0.0000 0.0000 0.0000
```